Structure and theoretical powder XRD pattern of LiCrCO4 (a structure optimized by DFT (GGA+U); Cu Kα (weighted mean of Kα1 and Kα2)).
Neutral-atom scattering factors, no anomalous dispersion.

Structural model:
a b c (Å): 9.3975 3.1053 9.3361
angles (deg): 90.00 90.00 90.00
Atoms (fractional coordinates):
Li  0.0917  0.2500  0.1923
Li  0.4083  0.7500  0.6923
Li  0.5917  0.2500  0.3077
Li  0.9083  0.7500  0.8077
Cr  0.1203  0.2500  0.5598
Cr  0.3797  0.7500  0.0598
Cr  0.6203  0.2500  0.9402
Cr  0.8797  0.7500  0.4402
C  0.1677  0.2500  0.8678
C  0.3323  0.7500  0.3678
C  0.6677  0.2500  0.6322
C  0.8323  0.7500  0.1322
O  0.0002  0.2500  0.3867
O  0.9998  0.7500  0.6133
O  0.0350  0.2500  0.8726
O  0.2407  0.2500  0.7486
O  0.2418  0.2500  0.9921
O  0.2582  0.7500  0.4921
O  0.2593  0.7500  0.2486
O  0.4650  0.7500  0.3726
O  0.5002  0.2500  0.1133
O  0.4998  0.7500  0.8867
O  0.5350  0.2500  0.6274
O  0.7407  0.2500  0.7514
O  0.7418  0.2500  0.5079
O  0.7582  0.7500  0.0079
O  0.7593  0.7500  0.2514
O  0.9650  0.7500  0.1274

The 8 most intense peaks (2θ from 10° to 80°), in order of rising 2θ:
13.4°, d 6.623, intensity 100; 19.0°, d 4.668, intensity 30; 21.2°, d 4.195, intensity 38; 30.3°, d 2.949, intensity 36; 34.6°, d 2.595, intensity 39; 34.6°, d 2.591, intensity 59; 42.1°, d 2.146, intensity 22; 57.4°, d 1.605, intensity 25